(1)
Computed powder diffraction line list
Compound: Li2Ti2V3O10
Radiation: Cu Ka
Structure: DFT lattice parameters and positions (PBE+U)
No peak broadening, texture or thermal motion is included.

Cell and atoms:
```
Li2Ti2V3O10
1.0
5.2252 0.0000 0.0000
-0.6330 8.4074 0.0000
-2.1415 -3.7313 8.8564
Li Ti V O
4 4 6 20
direct
0.0018 0.1681 0.2719 Li
0.4845 0.6728 0.7805 Li
0.5155 0.3272 0.2195 Li
0.9982 0.8319 0.7281 Li
0.0390 0.5857 0.4029 Ti
0.4721 0.9090 0.0955 Ti
0.5279 0.0910 0.9045 Ti
0.9610 0.4143 0.5971 Ti
0.0000 0.0000 0.5000 V
0.0138 0.2183 0.8218 V
0.4830 0.2834 0.6707 V
0.5000 0.5000 0.0000 V
0.5170 0.7166 0.3293 V
0.9862 0.7817 0.1782 V
0.1530 0.6221 0.6106 O
0.1920 0.9814 0.1723 O
0.2062 0.8179 0.3940 O
0.2149 0.2182 0.5005 O
0.2363 0.4236 0.7827 O
0.2691 0.0773 0.7044 O
0.3050 0.6728 0.1218 O
0.3137 0.2833 0.9998 O
0.3209 0.5120 0.3299 O
0.3335 0.8859 0.8896 O
0.6665 0.1141 0.1104 O
0.6791 0.4880 0.6701 O
0.6863 0.7167 0.0002 O
0.6950 0.3272 0.8782 O
0.7309 0.9227 0.2956 O
0.7637 0.5764 0.2173 O
0.7851 0.7818 0.4995 O
0.7938 0.1821 0.6060 O
0.8080 0.0186 0.8277 O
0.8470 0.3779 0.3894 O
```

The 10 most intense peaks (10° ≤ 2θ ≤ 90°), by angle:
2θ (°)  I_rel
11.9  59
17.9  100
22.5  17
26.9  19
27.9  22
35.7  16
37.6  42
44.3  30
45.7  26
59.6  15

=====

(2)
Computed powder diffraction line list
Compound: Li2TiV3O8
Radiation: Cu Ka
Structure: DFT lattice parameters and positions (PBE+U)
No peak broadening, texture or thermal motion is included.

Cell and atoms:
```
Li2TiV3O8
1.0
6.1881 -1.9964 0.0000
6.1881 1.9964 0.0000
-2.0197 0.0000 6.2833
Li Ti V O
2 1 3 8
direct
0.0000 0.0000 0.0000 Li
0.1202 0.1202 0.7039 Li
0.3548 0.3548 0.0712 Ti
0.4474 0.4474 0.6559 V
0.6690 0.6690 0.0446 V
0.7625 0.7625 0.6290 V
0.1828 0.1828 0.0328 O
0.2830 0.2830 0.6880 O
0.4115 0.4115 0.3455 O
0.4938 0.4938 0.9880 O
0.6236 0.6236 0.7223 O
0.7063 0.7063 0.3592 O
0.8338 0.8338 0.0094 O
0.9331 0.9331 0.6750 O
```

The 10 most intense peaks (10° ≤ 2θ ≤ 90°), by angle:
2θ (°)  I_rel
14.1  82
15.0  60
23.5  100
28.4  68
29.3  23
32.0  72
43.2  46
43.9  60
45.4  61
65.0  30

=====

(3)
Computed powder diffraction line list
Compound: LiTi2V3O10
Radiation: Cu Ka
Structure: DFT lattice parameters and positions (PBE+U)
No peak broadening, texture or thermal motion is included.

Cell and atoms:
```
LiTi2V3O10
1.0
5.1194 0.0000 0.0000
0.9461 5.0591 0.0000
1.8909 1.7954 7.3706
Li Ti V O
1 2 3 10
direct
0.0000 0.0000 0.0000 Li
0.5251 0.7806 0.7847 Ti
0.5422 0.5648 0.1468 Ti
0.4787 0.9980 0.3495 V
0.4918 0.3582 0.5903 V
0.9985 0.6855 0.4622 V
0.2464 0.8973 0.2459 O
0.2872 0.7241 0.5880 O
0.2994 0.3616 0.3966 O
0.3019 0.6095 0.9873 O
0.3137 0.1483 0.7813 O
0.6985 0.2140 0.1493 O
0.7035 0.0191 0.5234 O
0.7279 0.6558 0.3219 O
0.7440 0.7838 0.9396 O
0.7523 0.4890 0.6793 O
```

The 10 most intense peaks (10° ≤ 2θ ≤ 90°), by angle:
2θ (°)  I_rel
12.0  53
18.0  100
22.9  20
26.6  22
27.1  17
30.1  10
39.7  38
43.5  33
44.8  30
64.2  15

=====

(4)
Computed powder diffraction line list
Compound: Li4Ti5VO12
Radiation: Cu Ka
Structure: DFT lattice parameters and positions (PBE+U)
No peak broadening, texture or thermal motion is included.

Cell and atoms:
```
Li4Ti5VO12
1.0
2.5651 -4.4238 0.0000
2.5651 4.4238 0.0000
-1.5814 0.0000 10.2438
Li Ti V O
4 5 1 12
direct
0.0826 0.7470 0.7424 Li
0.2530 0.9174 0.2576 Li
0.7470 0.0826 0.7424 Li
0.9174 0.2530 0.2576 Li
0.0000 0.0000 0.5000 Ti
0.1666 0.8334 0.0000 Ti
0.3419 0.6581 0.5000 Ti
0.6581 0.3419 0.5000 Ti
0.8334 0.1666 0.0000 Ti
0.5000 0.5000 0.0000 V
0.0271 0.3674 0.6059 O
0.1033 0.1033 0.8909 O
0.1704 0.5334 0.1096 O
0.2825 0.2825 0.3878 O
0.3674 0.0271 0.6059 O
0.4666 0.8296 0.8904 O
0.5334 0.1704 0.1096 O
0.6326 0.9729 0.3941 O
0.7175 0.7175 0.6122 O
0.8296 0.4666 0.8904 O
0.8967 0.8967 0.1091 O
0.9729 0.6326 0.3941 O
```

The 10 most intense peaks (10° ≤ 2θ ≤ 90°), by angle:
2θ (°)  I_rel
17.3  100
35.6  14
37.0  13
42.1  8
42.6  16
46.0  18
46.4  9
55.3  11
62.8  11
65.9  7

=====

(5)
Computed powder diffraction line list
Compound: Li2TiVO4
Radiation: Cu Ka
Structure: DFT lattice parameters and positions (PBE+U)
No peak broadening, texture or thermal motion is included.

Cell and atoms:
```
Li2TiVO4
1.0
-2.9686 2.9825 4.2713
2.9686 -2.9825 4.2713
2.9686 2.9825 -4.2713
Li Ti V O
4 2 2 8
direct
0.0000 0.0000 0.0000 Li
0.5000 0.0000 0.0000 Li
0.5000 0.0000 0.5000 Li
0.5000 0.5000 0.5000 Li
0.0000 0.0000 0.5000 Ti
0.0000 0.5000 0.0000 Ti
0.0000 0.5000 0.5000 V
0.5000 0.5000 0.0000 V
0.2330 0.2359 0.5029 O
0.2330 0.7301 0.9971 O
0.2342 0.7476 0.4866 O
0.2390 0.2524 0.9866 O
0.7610 0.7476 0.0134 O
0.7658 0.2524 0.5134 O
0.7670 0.2699 0.0029 O
0.7670 0.7641 0.4971 O
```

The 10 most intense peaks (10° ≤ 2θ ≤ 90°), by angle:
2θ (°)  I_rel
18.2  100
34.9  12
35.3  30
42.3  32
43.0  62
46.7  9
61.9  34
62.3  8
62.6  8
78.5  7

=====

(6)
Computed powder diffraction line list
Compound: Li2TiV3O8
Radiation: Cu Ka
Structure: DFT lattice parameters and positions (PBE+U)
No peak broadening, texture or thermal motion is included.

Cell and atoms:
```
Li2TiV3O8
1.0
2.9498 -5.1718 0.0000
2.9498 5.1718 0.0000
-0.0574 0.0000 9.5732
Li Ti V O
4 2 6 16
direct
0.0022 0.9978 0.5000 Li
0.3495 0.6848 0.8994 Li
0.6848 0.3495 0.3994 Li
0.9978 0.0022 0.0000 Li
0.3364 0.6776 0.5015 Ti
0.6776 0.3364 0.0015 Ti
0.1836 0.8401 0.2177 V
0.1861 0.3545 0.2188 V
0.3545 0.1861 0.7188 V
0.6610 0.8316 0.2273 V
0.8316 0.6610 0.7273 V
0.8401 0.1836 0.7177 V
0.0063 0.9961 0.8117 O
0.0561 0.5305 0.3464 O
0.1743 0.3430 0.6004 O
0.1789 0.8401 0.5984 O
0.3430 0.1743 0.1004 O
0.3690 0.6857 0.1066 O
0.4984 0.9734 0.3481 O
0.5010 0.5366 0.3510 O
0.5305 0.0561 0.8464 O
0.5366 0.5010 0.8510 O
0.6695 0.8431 0.6033 O
0.6857 0.3690 0.6066 O
0.8401 0.1789 0.0984 O
0.8431 0.6695 0.1033 O
0.9734 0.4984 0.8481 O
0.9961 0.0063 0.3117 O
```

The 10 most intense peaks (10° ≤ 2θ ≤ 90°), by angle:
2θ (°)  I_rel
18.5  93
19.6  100
19.7  51
33.0  38
35.5  47
36.3  47
45.1  32
45.5  31
60.2  46
62.4  43

=====

(7)
Computed powder diffraction line list
Compound: Li2TiV3O8
Radiation: Cu Ka
Structure: DFT lattice parameters and positions (PBE+U)
No peak broadening, texture or thermal motion is included.

Cell and atoms:
```
Li2TiV3O8
1.0
6.0139 0.0000 0.0000
2.9828 5.2390 0.0000
0.1661 3.3198 9.7784
Li Ti V O
4 2 6 16
direct
0.0000 0.0000 0.0000 Li
0.2305 0.0087 0.7488 Li
0.5000 0.0000 0.5000 Li
0.7695 0.9913 0.2512 Li
0.2524 0.4742 0.2505 Ti
0.7476 0.5258 0.7495 Ti
0.0000 0.5000 0.0000 V
0.0000 0.5000 0.5000 V
0.2557 0.4966 0.7527 V
0.5000 0.5000 0.0000 V
0.5000 0.5000 0.5000 V
0.7443 0.5034 0.2473 V
0.0944 0.2879 0.8645 O
0.1122 0.2857 0.3708 O
0.1313 0.7001 0.3816 O
0.1522 0.7130 0.8853 O
0.3471 0.2888 0.6166 O
0.3651 0.2840 0.1211 O
0.3848 0.7020 0.1241 O
0.4068 0.7143 0.6357 O
0.5932 0.2857 0.3644 O
0.6152 0.2980 0.8759 O
0.6349 0.7160 0.8789 O
0.6529 0.7112 0.3834 O
0.8478 0.2870 0.1147 O
0.8687 0.2999 0.6184 O
0.8878 0.7143 0.6292 O
0.9056 0.7121 0.1355 O
```

The 10 most intense peaks (10° ≤ 2θ ≤ 90°), by angle:
2θ (°)  I_rel
17.9  100
34.7  11
35.3  21
42.0  22
42.8  40
46.5  5
56.2  9
61.2  10
61.7  11
62.6  6

=====

(8)
Computed powder diffraction line list
Compound: Li4Ti3VO8
Radiation: Cu Ka
Structure: DFT lattice parameters and positions (PBE+U)
No peak broadening, texture or thermal motion is included.

Cell and atoms:
```
Li4Ti3VO8
1.0
6.0959 0.0000 0.0000
0.0000 4.1415 0.0000
-0.2903 0.0000 6.8742
Li Ti V O
4 3 1 8
direct
0.0000 0.0000 0.0000 Li
0.1500 0.5000 0.7687 Li
0.4920 0.0000 0.2796 Li
0.6499 0.5000 0.5106 Li
0.1597 0.5000 0.2558 Ti
0.4899 0.0000 0.7721 Ti
0.6547 0.5000 0.0193 Ti
0.9856 0.0000 0.5122 V
0.1651 0.0000 0.2577 O
0.1821 0.0000 0.7697 O
0.4762 0.5000 0.2455 O
0.4892 0.5000 0.7689 O
0.6473 0.0000 0.5433 O
0.6609 0.0000 0.0267 O
0.9738 0.5000 0.0236 O
0.9930 0.5000 0.4854 O
```

The 10 most intense peaks (10° ≤ 2θ ≤ 90°), by angle:
2θ (°)  I_rel
19.1  63
19.9  61
25.1  90
29.3  100
30.4  58
43.7  65
51.3  42
53.3  61
53.5  29
69.6  24

=====

(9)
Computed powder diffraction line list
Compound: Li2TiV3O8
Radiation: Cu Ka
Structure: DFT lattice parameters and positions (PBE+U)
No peak broadening, texture or thermal motion is included.

Cell and atoms:
```
Li2TiV3O8
1.0
5.9762 0.0000 0.0000
0.0000 5.9424 0.0000
-5.8823 0.0000 8.5627
Li Ti V O
4 2 6 16
direct
0.1267 0.2492 0.1251 Li
0.1267 0.7508 0.6251 Li
0.8733 0.2492 0.3749 Li
0.8733 0.7508 0.8749 Li
0.5000 0.2548 0.7500 Ti
0.5000 0.7452 0.2500 Ti
0.0000 0.2399 0.7500 V
0.0000 0.7601 0.2500 V
0.5000 0.0000 0.0000 V
0.5000 0.0000 0.5000 V
0.5000 0.5000 0.0000 V
0.5000 0.5000 0.5000 V
0.2635 0.4701 0.7609 O
0.2635 0.5299 0.2609 O
0.2704 0.0204 0.7650 O
0.2704 0.9796 0.2650 O
0.2764 0.2342 0.9941 O
0.2764 0.7658 0.4941 O
0.2853 0.2461 0.5177 O
0.2853 0.7539 0.0177 O
0.7147 0.2461 0.9823 O
0.7147 0.7539 0.4823 O
0.7236 0.2342 0.5059 O
0.7236 0.7658 0.0059 O
0.7296 0.0204 0.7350 O
0.7296 0.9796 0.2350 O
0.7365 0.4701 0.7391 O
0.7365 0.5299 0.2391 O
```

The 10 most intense peaks (10° ≤ 2θ ≤ 90°), by angle:
2θ (°)  I_rel
18.0  37
18.2  100
34.9  11
35.1  9
35.3  22
35.4  10
42.2  28
42.9  53
61.5  16
62.1  24

=====

(10)
Computed powder diffraction line list
Compound: Li2Ti3VO8
Radiation: Cu Ka
Structure: DFT lattice parameters and positions (PBE+U)
No peak broadening, texture or thermal motion is included.

Cell and atoms:
```
Li2Ti3VO8
1.0
5.9509 0.0000 0.0000
-2.9755 5.1536 0.0000
0.0000 0.0000 9.7967
Li Ti V O
4 6 2 16
direct
0.0000 0.0000 0.0000 Li
0.0000 0.0000 0.5000 Li
0.3333 0.6667 0.3928 Li
0.6667 0.3333 0.8928 Li
0.1683 0.3365 0.7163 Ti
0.1683 0.8317 0.7163 Ti
0.3365 0.1683 0.2163 Ti
0.6635 0.8317 0.7163 Ti
0.8317 0.1683 0.2163 Ti
0.8317 0.6635 0.2163 Ti
0.3333 0.6667 0.9867 V
0.6667 0.3333 0.4867 V
0.0000 0.0000 0.3162 O
0.0000 0.0000 0.8162 O
0.0350 0.5175 0.8308 O
0.1581 0.3162 0.1080 O
0.1581 0.8419 0.1080 O
0.3162 0.1581 0.6080 O
0.3333 0.6667 0.6066 O
0.4825 0.5175 0.8308 O
0.4825 0.9650 0.8308 O
0.5175 0.0350 0.3308 O
0.5175 0.4825 0.3308 O
0.6667 0.3333 0.1066 O
0.6838 0.8419 0.1080 O
0.8419 0.1581 0.6080 O
0.8419 0.6838 0.6080 O
0.9650 0.4825 0.3308 O
```

The 10 most intense peaks (10° ≤ 2θ ≤ 90°), by angle:
2θ (°)  I_rel
18.1  72
19.5  100
25.1  33
32.5  33
35.3  59
36.0  40
39.5  46
44.8  66
59.2  47
62.4  44